For MnFe2P2O16, a structure optimized by DFT (GGA+U) gives the calculated powder X-ray diffraction pattern in this record (a wavelength of 1.5418 Å).
Intensities are scaled so that the largest is 100.

Atomic structure:
a = 7.8077 Å, b = 9.5311 Å, c = 10.1365 Å
α = 66.14°, β = 84.11°, γ = 82.54°
Fractional coordinates of all 42 atoms:
Mn 0.1607 0.1362 0.4117
Mn 0.8393 0.8638 0.5883
Fe 0.1376 0.2272 0.7962
Fe 0.3641 0.7062 0.2769
Fe 0.6359 0.2938 0.7231
Fe 0.8624 0.7728 0.2038
P 0.1042 0.0311 0.1598
P 0.3847 0.3264 0.4898
P 0.6153 0.6736 0.5102
P 0.8958 0.9689 0.8402
O 0.0066 0.2444 0.4501
O 0.0594 0.0533 0.7725
O 0.0840 0.1387 0.0014
O 0.0992 0.6439 0.2448
O 0.1323 0.1437 0.2337
O 0.1880 0.9625 0.5276
O 0.2159 0.6591 0.1360
O 0.2294 0.3268 0.5965
O 0.2655 0.9150 0.1792
O 0.2937 0.3708 0.8389
O 0.3563 0.2225 0.4053
O 0.4049 0.2485 0.8474
O 0.4082 0.4865 0.3724
O 0.4214 0.3396 0.0885
O 0.4485 0.7465 0.4293
O 0.4958 0.2105 0.1152
O 0.5042 0.7895 0.8848
O 0.5515 0.2535 0.5707
O 0.5786 0.6604 0.9115
O 0.5918 0.5135 0.6276
O 0.5951 0.7515 0.1526
O 0.6437 0.7775 0.5947
O 0.7063 0.6292 0.1611
O 0.7345 0.0850 0.8208
O 0.7706 0.6732 0.4035
O 0.7841 0.3409 0.8640
O 0.8120 0.0375 0.4724
O 0.8677 0.8563 0.7663
O 0.9008 0.3561 0.7552
O 0.9160 0.8613 0.9986
O 0.9406 0.9467 0.2275
O 0.9934 0.7556 0.5499

Largest 12 diffraction maxima, in order of rising 2θ, 15 to 90 degrees two-theta:
| two_theta | d [Å] | Rel. int. |
| --- | --- | --- |
| 15.33 | 5.778 | 23 |
| 16.08 | 5.511 | 100 |
| 16.55 | 5.357 | 21 |
| 20.47 | 4.338 | 38 |
| 22.30 | 3.986 | 14 |
| 24.48 | 3.636 | 18 |
| 26.55 | 3.358 | 27 |
| 28.94 | 3.086 | 12 |
| 29.42 | 3.036 | 12 |
| 29.90 | 2.989 | 11 |
| 30.87 | 2.896 | 21 |
| 34.14 | 2.626 | 13 |

For MnFeP2O8, a structure optimized by DFT (GGA+U) gives the calculated powder X-ray diffraction pattern in this record (a wavelength of 1.5418 Å).
Intensities are scaled so that the largest is 100.

Atomic structure:
a = 4.9080 Å, b = 5.9745 Å, c = 9.8720 Å
α = 90.00°, β = 90.71°, γ = 90.00°
Fractional coordinates of all 24 atoms:
Mn 0.0631 0.2500 0.2191
Mn 0.9369 0.7500 0.7809
Fe 0.4586 0.2500 0.7238
Fe 0.5414 0.7500 0.2762
P 0.0826 0.7500 0.0956
P 0.4118 0.7500 0.5995
P 0.5882 0.2500 0.4005
P 0.9174 0.2500 0.9044
O 0.1505 0.7500 0.9441
O 0.2234 0.2500 0.8828
O 0.2338 0.5511 0.1697
O 0.2338 0.9489 0.1697
O 0.2742 0.2500 0.3811
O 0.2754 0.5462 0.6720
O 0.2754 0.9538 0.6720
O 0.3505 0.7500 0.4472
O 0.6495 0.2500 0.5528
O 0.7246 0.0462 0.3280
O 0.7246 0.4538 0.3280
O 0.7258 0.7500 0.6189
O 0.7662 0.0511 0.8303
O 0.7662 0.4489 0.8303
O 0.7766 0.7500 0.1172
O 0.8495 0.2500 0.0559

Largest 12 diffraction maxima, in order of rising 2θ, 15 to 90 degrees two-theta:
| two_theta | d [Å] | Rel. int. |
| --- | --- | --- |
| 17.97 | 4.936 | 77 |
| 20.11 | 4.416 | 65 |
| 20.31 | 4.373 | 51 |
| 23.38 | 3.805 | 25 |
| 25.07 | 3.551 | 43 |
| 25.24 | 3.529 | 46 |
| 29.90 | 2.988 | 100 |
| 35.96 | 2.497 | 47 |
| 36.32 | 2.474 | 73 |
| 47.98 | 1.896 | 20 |
| 58.16 | 1.586 | 21 |
| 61.96 | 1.498 | 19 |

For MnFeP2O8, a structure optimized by DFT (GGA+U) gives the calculated powder X-ray diffraction pattern in this record (a wavelength of 1.5418 Å).
Intensities are scaled so that the largest is 100.

Atomic structure:
a = 6.0046 Å, b = 9.8936 Å, c = 4.9180 Å
α = 90.00°, β = 90.00°, γ = 90.00°
Fractional coordinates of all 24 atoms:
Mn 0.0000 0.0349 0.0000
Mn 0.5000 0.9651 0.5000
Fe 0.0000 0.5236 0.4043
Fe 0.5000 0.4764 0.9043
P 0.0000 0.3474 0.8546
P 0.0000 0.8508 0.5141
P 0.5000 0.1492 0.0141
P 0.5000 0.6526 0.3546
O 0.0000 0.1965 0.7833
O 0.0000 0.3687 0.1615
O 0.0000 0.6987 0.5730
O 0.0000 0.8706 0.2037
O 0.1998 0.4220 0.7091
O 0.2002 0.9224 0.6562
O 0.2998 0.0776 0.1562
O 0.3002 0.5780 0.2091
O 0.5000 0.1294 0.7037
O 0.5000 0.3013 0.0730
O 0.5000 0.6313 0.6615
O 0.5000 0.8035 0.2833
O 0.7002 0.0776 0.1562
O 0.6998 0.5780 0.2091
O 0.8002 0.4220 0.7091
O 0.7998 0.9224 0.6562

Largest 12 diffraction maxima, in order of rising 2θ, 15 to 90 degrees two-theta:
| two_theta | d [Å] | Rel. int. |
| --- | --- | --- |
| 17.93 | 4.947 | 66 |
| 20.16 | 4.404 | 100 |
| 23.30 | 3.817 | 21 |
| 25.08 | 3.551 | 74 |
| 29.62 | 3.016 | 19 |
| 29.76 | 3.002 | 73 |
| 36.04 | 2.492 | 81 |
| 36.21 | 2.481 | 31 |
| 37.69 | 2.386 | 19 |
| 47.81 | 1.902 | 19 |
| 51.47 | 1.776 | 19 |
| 56.98 | 1.616 | 21 |

For Mn3FeP6O24, a structure optimized by DFT (GGA+U) gives the calculated powder X-ray diffraction pattern in this record (a wavelength of 1.5418 Å).
Intensities are scaled so that the largest is 100.

Atomic structure:
a = 8.7852 Å, b = 8.7852 Å, c = 8.7852 Å
α = 58.16°, β = 58.16°, γ = 58.16°
Fractional coordinates of all 34 atoms:
Mn 0.0000 0.0000 0.0000
Mn 0.2104 0.2104 0.2104
Mn 0.7096 0.7096 0.7096
Fe 0.4980 0.4980 0.4980
P 0.1009 0.3893 0.8234
P 0.3198 0.8921 0.6049
P 0.3893 0.8234 0.1009
P 0.6049 0.3198 0.8921
P 0.8234 0.1009 0.3893
P 0.8921 0.6049 0.3198
O 0.0773 0.2156 0.8465
O 0.0773 0.4292 0.2950
O 0.1265 0.3669 0.9963
O 0.1343 0.9219 0.7790
O 0.2156 0.8465 0.0773
O 0.2736 0.4147 0.6420
O 0.2950 0.0773 0.4292
O 0.3419 0.7211 0.5826
O 0.3669 0.9963 0.1265
O 0.4147 0.6420 0.2736
O 0.4292 0.2950 0.0773
O 0.4931 0.8705 0.6297
O 0.5738 0.7994 0.9252
O 0.5826 0.3419 0.7211
O 0.6297 0.4931 0.8705
O 0.6420 0.2736 0.4147
O 0.7211 0.5826 0.3419
O 0.7790 0.1343 0.9219
O 0.7994 0.9252 0.5738
O 0.8465 0.0773 0.2156
O 0.8705 0.6297 0.4931
O 0.9219 0.7790 0.1343
O 0.9252 0.5738 0.7994
O 0.9963 0.1265 0.3669

Largest 12 diffraction maxima, in order of rising 2θ, 15 to 90 degrees two-theta:
| two_theta | d [Å] | Rel. int. |
| --- | --- | --- |
| 20.23 | 4.389 | 58 |
| 20.80 | 4.270 | 29 |
| 24.17 | 3.682 | 100 |
| 29.18 | 3.060 | 50 |
| 32.33 | 2.769 | 51 |
| 36.11 | 2.487 | 9 |
| 36.45 | 2.465 | 14 |
| 46.53 | 1.952 | 11 |
| 49.51 | 1.841 | 14 |
| 53.27 | 1.720 | 14 |
| 57.07 | 1.614 | 12 |
| 62.12 | 1.494 | 10 |

For MnFe2P2O16, a structure optimized by DFT (GGA+U) gives the calculated powder X-ray diffraction pattern in this record (a wavelength of 1.5418 Å).
Intensities are scaled so that the largest is 100.

Atomic structure:
a = 7.9096 Å, b = 10.2056 Å, c = 10.2385 Å
α = 61.02°, β = 89.78°, γ = 88.76°
Fractional coordinates of all 42 atoms:
Mn 0.1709 0.0739 0.0384
Mn 0.8291 0.9261 0.9616
Fe 0.1696 0.7023 0.4860
Fe 0.3505 0.2108 0.5172
Fe 0.6495 0.7892 0.4828
Fe 0.8304 0.2977 0.5140
P 0.1068 0.3466 0.7024
P 0.3683 0.0291 0.3167
P 0.6317 0.9709 0.6833
P 0.8932 0.6534 0.2976
O 0.0024 0.9804 0.8648
O 0.0117 0.2015 0.3307
O 0.0507 0.2223 0.4400
O 0.0791 0.6788 0.3283
O 0.1313 0.5131 0.6560
O 0.1471 0.2600 0.8718
O 0.2265 0.2986 0.6142
O 0.2418 0.9032 0.4069
O 0.2690 0.9435 0.0220
O 0.3072 0.1244 0.1503
O 0.3739 0.1402 0.3768
O 0.4233 0.4297 0.9287
O 0.4367 0.6600 0.5058
O 0.4542 0.0371 0.6819
O 0.4751 0.4079 0.3650
O 0.4867 0.6599 0.0883
O 0.5133 0.3401 0.9117
O 0.5249 0.5921 0.6350
O 0.5458 0.9629 0.3181
O 0.5633 0.3400 0.4942
O 0.5767 0.5703 0.0713
O 0.6261 0.8598 0.6232
O 0.6928 0.8756 0.8497
O 0.7310 0.0565 0.9780
O 0.7582 0.0968 0.5931
O 0.7735 0.7014 0.3858
O 0.8529 0.7400 0.1282
O 0.8687 0.4869 0.3440
O 0.9209 0.3212 0.6717
O 0.9493 0.7777 0.5600
O 0.9883 0.7985 0.6693
O 0.9976 0.0196 0.1352

Largest 12 diffraction maxima, in order of rising 2θ, 15 to 90 degrees two-theta:
| two_theta | d [Å] | Rel. int. |
| --- | --- | --- |
| 15.17 | 5.842 | 100 |
| 19.83 | 4.476 | 28 |
| 20.17 | 4.403 | 16 |
| 20.31 | 4.373 | 14 |
| 22.66 | 3.924 | 14 |
| 23.27 | 3.823 | 29 |
| 24.54 | 3.627 | 24 |
| 24.83 | 3.586 | 14 |
| 26.28 | 3.392 | 39 |
| 28.44 | 3.138 | 17 |
| 28.85 | 3.095 | 13 |
| 35.05 | 2.560 | 30 |